Record 1
# LiEr2Pt4
Computed X-ray diffraction stick pattern, Cu Kα (λ = 1.5418 Å). Input: a crystal structure in Alexandria, relaxed with GGA-PBE.
Lines closer than 0.1° are merged.

Top 12 peaks for 2θ = 10–80°, by angle:
2θ/deg	I (rel.)	index
20.3	32	1 1 1
21.4	32	0 2 0
30.2	28	1 1 3
31.5	15	0 0 4
38.0	100	2 2 0
38.4	89	0 2 4
43.6	34	0 4 0
44.8	58	2 0 4
50.1	17	2 2 4
64.3	40	2 4 4
77.7	23	4 2 4
78.6	19	2 2 8

Structure:
Cell lengths 5.771, 8.308, 11.353 Å; angles 90.00, 90.00, 90.00 degrees
Space group Fmmm (No. 69)
Symmetry-distinct sites (fractional):
1 Li 0.000 0.000 0.000 (multiplicity 4)
2 Er 0.000 0.000 0.356 (multiplicity 8)
3 Pt 0.250 0.250 0.000 (multiplicity 8)
4 Pt 0.250 0.250 0.250 (multiplicity 8)



Record 2
# LiEr6Pt5
Computed X-ray diffraction stick pattern, Cu Kα (λ = 1.5418 Å). Input: a crystal structure in Alexandria, relaxed with GGA-PBE.
Lines closer than 0.1° are merged.

Top 12 peaks for 2θ = 10–80°, by angle:
2θ/deg	I (rel.)	index
25.3	4	1 1 2
32.8	4	0 1 5
36.4	24	0 0 6
36.5	100	1 2 3
36.9	25	2 0 0
52.3	9	0 4 0
52.8	16	2 0 6
65.4	9	0 4 6
65.6	15	1 2 9
65.8	9	2 4 0
66.2	18	3 2 3
77.6	11	2 4 6

Structure:
Cell lengths 4.871, 6.993, 14.811 Å; angles 90.00, 90.00, 90.00 degrees
Space group Immm (No. 71)
Symmetry-distinct sites (fractional):
1 Li 0.000 0.000 0.000 (multiplicity 2)
2 Er 0.000 0.239 0.500 (multiplicity 4)
3 Er 0.000 0.256 0.169 (multiplicity 8)
4 Pt 0.000 0.000 0.325 (multiplicity 4)
5 Pt 0.000 0.500 0.000 (multiplicity 2)
6 Pt 0.000 0.500 0.349 (multiplicity 4)



Record 3
# LiEr2Si3Pt4
Computed X-ray diffraction stick pattern, Cu Kα (λ = 1.5418 Å). Input: a crystal structure in Alexandria, relaxed with GGA-PBE.
Lines closer than 0.1° are merged.

Top 12 peaks for 2θ = 10–80°, by angle:
2θ/deg	I (rel.)	index
26.8	33	0 0 3
28.0	28	1 0 2
31.8	74	1 1 1
34.6	64	1 0 3
35.5	100	1 1 2
43.7	65	2 0 0
50.8	29	1 0 5
52.0	22	2 0 3
56.9	31	2 1 3
63.5	22	2 2 0
69.2	23	2 1 5
74.9	23	3 1 2

Structure:
Cell lengths 4.145, 4.145, 9.969 Å; angles 90.00, 90.00, 90.00 degrees
Space group P-4m2 (No. 115)
Symmetry-distinct sites (fractional):
1 Li 0.000 0.000 0.000 (multiplicity 1)
2 Er 0.000 0.500 0.754 (multiplicity 2)
3 Si 0.000 0.500 0.364 (multiplicity 2)
4 Si 0.500 0.500 0.000 (multiplicity 1)
5 Pt 0.000 0.000 0.500 (multiplicity 1)
6 Pt 0.000 0.500 0.131 (multiplicity 2)
7 Pt 0.500 0.500 0.500 (multiplicity 1)



Record 4
# LiErSi2Pt2
Computed X-ray diffraction stick pattern, Cu Kα (λ = 1.5418 Å). Input: a crystal structure in Alexandria, relaxed with GGA-PBE.
Lines closer than 0.1° are merged.

Top 12 peaks for 2θ = 10–80°, by angle:
2θ/deg	I (rel.)	index
28.1	100	1 0 1
37.0	58	0 1 2
41.6	12	0 0 3
43.0	48	1 1 0
48.8	7	1 0 3
52.1	19	0 2 1
58.0	16	2 0 2
61.4	22	1 1 3
69.8	16	2 1 1
74.9	15	1 2 2
77.9	7	1 0 5
78.8	12	3 0 0

Structure:
Cell lengths 4.2072, 4.2072, 6.5134 Å; angles 90.00, 90.00, 120.00 degrees
Space group P-3m1 (No. 164)
Symmetry-distinct sites (fractional):
1 Li 0.0000 0.0000 0.0000 (multiplicity 1)
2 Er 0.0000 0.0000 0.5000 (multiplicity 1)
3 Si 0.3333 0.6667 0.8051 (multiplicity 2)
4 Pt 0.3333 0.6667 0.2059 (multiplicity 2)